Calculated powder diffraction line list
Compound: Ti5FeP6O24
Radiation: copper Kα
Structure: DFT lattice parameters and positions (PBE+U)
Kinematic intensities with the Lorentz-polarization factor, no thermal factor.

Largest 10 diffraction maxima, in order of falling intensity, 2θ from 10° to 90°:
2θ 24.2, I 100.0
2θ 20.3, I 57.4
2θ 33.4, I 51.7
2θ 35.6, I 29.8
2θ 47.8, I 25.1
2θ 49.6, I 20.0
2θ 55.6, I 19.0
2θ 31.6, I 15.5
2θ 62.5, I 14.1
2θ 25.1, I 14.1

Structure:
```
data_Ti5FeP6O24
_chemical_formula_sum 'Ti5 Fe1 P6 O24'
_space_group_name_H-M_alt 'P 1'
_space_group_IT_number 1
_cell_length_a 8.4568
_cell_length_b 8.4568
_cell_length_c 8.4568
_cell_angle_alpha 62.27
_cell_angle_beta 62.27
_cell_angle_gamma 62.27
loop_
_space_group_symop_operation_xyz
'x,y,z'
loop_
_atom_site_label
_atom_site_type_symbol
_atom_site_fract_x
_atom_site_fract_y
_atom_site_fract_z
_atom_site_occupancy
Ti1 Ti 0.0000 0.0000 0.0000 1
Ti2 Ti 0.1416 0.1416 0.1416 1
Ti3 Ti 0.3571 0.3571 0.3571 1
Ti4 Ti 0.5005 0.5005 0.5005 1
Ti5 Ti 0.6452 0.6452 0.6452 1
Fe1 Fe 0.8577 0.8577 0.8577 1
P1 P 0.0481 0.4573 0.7524 1
P2 P 0.2534 0.9573 0.5423 1
P3 P 0.4573 0.7524 0.0481 1
P4 P 0.5423 0.2534 0.9573 1
P5 P 0.7524 0.0481 0.4573 1
P6 P 0.9573 0.5423 0.2534 1
O1 O 0.0221 0.6027 0.8236 1
O2 O 0.0576 0.2553 0.9047 1
O3 O 0.1048 0.9529 0.7393 1
O4 O 0.1101 0.4848 0.3374 1
O5 O 0.1821 0.9984 0.3856 1
O6 O 0.2472 0.4319 0.5952 1
O7 O 0.2553 0.9047 0.0576 1
O8 O 0.3374 0.1101 0.4848 1
O9 O 0.3856 0.1821 0.9984 1
O10 O 0.4082 0.7576 0.5578 1
O11 O 0.4319 0.5952 0.2472 1
O12 O 0.4848 0.3374 0.1101 1
O13 O 0.5063 0.6816 0.8871 1
O14 O 0.5578 0.4082 0.7576 1
O15 O 0.5952 0.2472 0.4319 1
O16 O 0.6027 0.8236 0.0221 1
O17 O 0.6816 0.8871 0.5063 1
O18 O 0.7393 0.1048 0.9529 1
O19 O 0.7576 0.5578 0.4082 1
O20 O 0.8236 0.0221 0.6027 1
O21 O 0.8871 0.5063 0.6816 1
O22 O 0.9047 0.0576 0.2553 1
O23 O 0.9529 0.7393 0.1048 1
O24 O 0.9984 0.3856 0.1821 1
```



Calculated powder diffraction line list
Compound: Ti4FeP6O24
Radiation: copper Kα
Structure: DFT lattice parameters and positions (PBE+U)
Kinematic intensities with the Lorentz-polarization factor, no thermal factor.

Largest 10 diffraction maxima, in order of falling intensity, 2θ from 10° to 90°:
2θ 24.2, I 100.0
2θ 20.5, I 40.0
2θ 33.0, I 33.6
2θ 47.4, I 21.2
2θ 31.8, I 20.5
2θ 35.9, I 18.2
2θ 20.7, I 17.7
2θ 29.3, I 17.0
2θ 56.2, I 14.5
2θ 12.5, I 13.4

Structure:
```
data_Ti4FeP6O24
_chemical_formula_sum 'Ti4 Fe1 P6 O24'
_space_group_name_H-M_alt 'P 1'
_space_group_IT_number 1
_cell_length_a 8.5666
_cell_length_b 8.5666
_cell_length_c 8.5666
_cell_angle_alpha 60.75
_cell_angle_beta 60.75
_cell_angle_gamma 60.75
loop_
_space_group_symop_operation_xyz
'x,y,z'
loop_
_atom_site_label
_atom_site_type_symbol
_atom_site_fract_x
_atom_site_fract_y
_atom_site_fract_z
_atom_site_occupancy
Ti1 Ti 0.1319 0.1319 0.1319 1
Ti2 Ti 0.3538 0.3538 0.3538 1
Ti3 Ti 0.6462 0.6462 0.6462 1
Ti4 Ti 0.8681 0.8681 0.8681 1
Fe1 Fe 0.5000 0.5000 0.5000 1
P1 P 0.0446 0.7472 0.4698 1
P2 P 0.2528 0.5302 0.9554 1
P3 P 0.4698 0.0446 0.7472 1
P4 P 0.5302 0.9554 0.2528 1
P5 P 0.7472 0.4698 0.0446 1
P6 P 0.9554 0.2528 0.5302 1
O1 O 0.0035 0.8024 0.6331 1
O2 O 0.0587 0.9081 0.2788 1
O3 O 0.0919 0.7212 0.9413 1
O4 O 0.1174 0.3174 0.4887 1
O5 O 0.1976 0.3669 0.9965 1
O6 O 0.2373 0.5809 0.4508 1
O7 O 0.2788 0.0587 0.9081 1
O8 O 0.3174 0.4887 0.1174 1
O9 O 0.3669 0.9965 0.1976 1
O10 O 0.4191 0.5492 0.7627 1
O11 O 0.4508 0.2373 0.5809 1
O12 O 0.4887 0.1174 0.3174 1
O13 O 0.5113 0.8826 0.6826 1
O14 O 0.5492 0.7627 0.4191 1
O15 O 0.5809 0.4508 0.2373 1
O16 O 0.6331 0.0035 0.8024 1
O17 O 0.6826 0.5113 0.8826 1
O18 O 0.7212 0.9413 0.0919 1
O19 O 0.7627 0.4191 0.5492 1
O20 O 0.8024 0.6331 0.0035 1
O21 O 0.8826 0.6826 0.5113 1
O22 O 0.9081 0.2788 0.0587 1
O23 O 0.9413 0.0919 0.7212 1
O24 O 0.9965 0.1976 0.3669 1
```